[1]
Structure and calculated powder diffractogram of Th2Np3S8 (a structure optimized by DFT (GGA-PBE); Cu Kα, 1.54184 Å).
Kinematic intensities with the Lorentz-polarization factor, no thermal factor.

Most intense lines, 2θ from 5° to 70°, in order of rising 2θ:
22.99°, I = 84; 26.38°, I = 24; 26.71°, I = 48; 37.89°, I = 100; 38.13°, I = 50; 44.99°, I = 28; 46.97°, I = 22; 68.76°, I = 33

Crystal structure
Unit cell a=8.2432 b=8.2432 c=4.7175 alpha=90.00 beta=90.00 gamma=110.10
Sites, in units of the cell vectors:
Th: 0.2375 0.7625 0.0000
Th: 0.7625 0.2375 0.0000
Np: 0.2346 0.2346 0.5000
Np: 0.5000 0.5000 0.0000
Np: 0.7654 0.7654 0.5000
S: 0.1245 0.8755 0.5000
S: 0.1355 0.3802 0.0000
S: 0.3802 0.1355 0.0000
S: 0.3799 0.6201 0.5000
S: 0.6201 0.3799 0.5000
S: 0.6198 0.8645 0.0000
S: 0.8645 0.6198 0.0000
S: 0.8755 0.1245 0.5000


[2]
Structure and calculated powder diffractogram of PaCo6Ge6 (a structure optimized by DFT (GGA-PBE); Cu Kα, 1.54184 Å).
Kinematic intensities with the Lorentz-polarization factor, no thermal factor.

Most intense lines, 2θ from 5° to 70°, in order of rising 2θ:
35.06°, I = 36; 35.21°, I = 71; 38.35°, I = 32; 40.77°, I = 55; 42.03°, I = 51; 42.16°, I = 100; 43.69°, I = 40; 45.80°, I = 34

Crystal structure
Unit cell a=6.4565 b=6.4565 c=6.4565 alpha=133.29 beta=104.29 gamma=93.87
Sites, in units of the cell vectors:
Pa: 0.0000 0.0000 0.0000
Co: 0.0000 0.0000 0.5000
Co: 0.0000 0.5000 0.0000
Co: 0.2480 0.5000 0.7480
Co: 0.5000 0.0000 0.0000
Co: 0.5000 0.5000 0.5000
Co: 0.7520 0.5000 0.2520
Ge: 0.1720 0.6720 0.5000
Ge: 0.3391 0.3391 0.0000
Ge: 0.3467 0.0000 0.3467
Ge: 0.6533 0.0000 0.6533
Ge: 0.6609 0.6609 0.0000
Ge: 0.8280 0.3280 0.5000


[3]
Structure and calculated powder diffractogram of IrBrO (a structure optimized by DFT (GGA-PBE); Cu Kα, 1.54184 Å).
Kinematic intensities with the Lorentz-polarization factor, no thermal factor.

Most intense lines, 2θ from 5° to 70°, in order of rising 2θ:
16.68°, I = 100; 22.54°, I = 35; 32.91°, I = 31; 37.11°, I = 47; 42.56°, I = 16; 46.01°, I = 32; 47.84°, I = 15; 60.32°, I = 14

Crystal structure
Unit cell a=6.1379 b=6.1379 c=5.8869 alpha=90.00 beta=90.00 gamma=120.00
Sites, in units of the cell vectors:
Ir: 0.0000 0.1525 0.3333
Ir: 0.1525 0.0000 0.6667
Ir: 0.8475 0.8475 0.0000
Br: 0.0000 0.6720 0.3333
Br: 0.3280 0.3280 0.0000
Br: 0.6720 0.0000 0.6667
O: 0.0000 0.6839 0.8333
O: 0.3161 0.3161 0.5000
O: 0.6839 0.0000 0.1667


[4]
Structure and calculated powder diffractogram of Ho4TmSe5 (a structure optimized by DFT (GGA-PBE); Cu Kα, 1.54184 Å).
Kinematic intensities with the Lorentz-polarization factor, no thermal factor.

Most intense lines, 2θ from 5° to 70°, in order of rising 2θ:
26.97°, I = 34; 31.12°, I = 49; 31.31°, I = 100; 44.73°, I = 73; 44.87°, I = 37; 53.14°, I = 11; 55.61°, I = 38; 65.33°, I = 12

Crystal structure
Unit cell a=14.6518 b=14.6518 c=14.6518 alpha=164.15 beta=164.15 gamma=22.49
Sites, in units of the cell vectors:
Ho: 0.1022 0.1022 0.0000
Ho: 0.3039 0.3039 0.0000
Ho: 0.6961 0.6961 0.0000
Ho: 0.8978 0.8978 0.0000
Tm: 0.5000 0.5000 0.0000
Se: 0.0000 0.0000 0.0000
Se: 0.2024 0.2024 0.0000
Se: 0.4023 0.4023 0.0000
Se: 0.5977 0.5977 0.0000
Se: 0.7976 0.7976 0.0000


[5]
Structure and calculated powder diffractogram of La5Sm4Dy (a structure optimized by DFT (GGA-PBE); Cu Kα, 1.54184 Å).
Kinematic intensities with the Lorentz-polarization factor, no thermal factor.

Most intense lines, 2θ from 5° to 70°, in order of rising 2θ:
29.73°, I = 100; 34.13°, I = 35; 35.13°, I = 16; 49.04°, I = 13; 49.78°, I = 24; 58.40°, I = 30; 59.73°, I = 14; 61.74°, I = 12

Crystal structure
Unit cell a=3.7154 b=3.7154 c=25.5469 alpha=90.00 beta=90.00 gamma=90.00
Sites, in units of the cell vectors:
La: 0.0000 0.0000 0.0000
La: 0.0000 0.0000 0.2012
La: 0.0000 0.0000 0.4020
La: 0.0000 0.0000 0.5980
La: 0.0000 0.0000 0.7988
Sm: 0.5000 0.5000 0.1007
Sm: 0.5000 0.5000 0.3019
Sm: 0.5000 0.5000 0.6981
Sm: 0.5000 0.5000 0.8993
Dy: 0.5000 0.5000 0.5000